Diffraction record for AcCoAs2O6. The powder X-ray diffraction pattern is theoretical, not measured: it uses a GGA+U-relaxed structure and CuKα.
Lines closer than 0.1° are merged.

Peak list (12 most intense, 10 to 80 degrees two-theta, in order of rising 2θ)
| 2theta | I/Imax |
| --- | --- |
| 15.46 | 22 |
| 19.47 | 21 |
| 21.45 | 15 |
| 28.06 | 100 |
| 32.81 | 54 |
| 36.46 | 30 |
| 41.43 | 14 |
| 43.70 | 26 |
| 46.41 | 19 |
| 55.71 | 27 |
| 58.58 | 17 |
| 75.86 | 12 |

Structure:
abc: 6.541 6.541 6.541
angles: 49.33 49.33 49.33
Atoms (fractional coordinates):
1 Ac 0.000 0.000 0.000
2 Co 0.500 0.500 0.500
3 As 0.268 0.268 0.268
4 As 0.732 0.732 0.732
5 O 0.087 0.469 0.738
6 O 0.262 0.913 0.531
7 O 0.469 0.738 0.087
8 O 0.531 0.262 0.913
9 O 0.738 0.087 0.469
10 O 0.913 0.531 0.262